[1]
La6In2Hg: computed XRD peak list (Cu Kα), based on a crystal structure in Alexandria, relaxed with GGA-PBE.
Kinematic intensities with the Lorentz-polarization factor, no thermal factor.

Largest 12 diffraction maxima, in order of rising 2θ, 2θ from 10° to 90°:
d 3.204, 27.85°, I 19, (1 3 0); d 2.904, 30.79°, I 15, (0 3 1); d 2.833, 31.58°, I 100, (3 0 1); d 2.819, 31.74°, I 50, (0 0 2); d 2.787, 32.12°, I 77, (2 3 0); d 2.500, 35.92°, I 20, (2 3 1); d 2.116, 42.73°, I 12, (1 3 2); d 1.983, 45.76°, I 19, (2 3 2); d 1.629, 56.48°, I 29, (3 0 3); d 1.601, 57.56°, I 20, (2 6 0); d 1.416, 65.95°, I 12, (6 0 2); d 1.251, 76.10°, I 12, (5 6 1)

Atomic structure:
Lattice parameters (Å, degrees): 9.8287 10.1659 5.6378 90.00 90.00 90.00
Space group Pnnm (No. 58)
One atom of each set of equivalent atoms:
La: 0.0047 0.1811 0.0000 (multiplicity 4)
La: 0.1637 0.6001 0.5000 (multiplicity 4)
La: 0.1680 0.8985 0.5000 (multiplicity 4)
In: 0.1708 0.2521 0.5000 (multiplicity 4)
Hg: 0.0000 0.5000 0.0000 (multiplicity 2)

***

[2]
K4NaCu3Cl12: computed XRD peak list (Cu Kα), based on a crystal structure in Alexandria, relaxed with GGA-PBE.
Kinematic intensities with the Lorentz-polarization factor, no thermal factor.

Largest 12 diffraction maxima, in order of rising 2θ, 2θ from 10° to 90°:
d 7.023, 12.60°, I 17, (1 1 0); d 4.966, 17.86°, I 44, (2 0 0); d 3.512, 25.36°, I 51, (2 2 0); d 2.867, 31.19°, I 39, (2 2 2); d 2.483, 36.17°, I 100, (4 0 0); d 2.221, 40.62°, I 18, (4 2 0); d 2.027, 44.70°, I 20, (4 2 2); d 1.756, 52.09°, I 60, (4 4 0); d 1.570, 58.80°, I 10, (6 2 0); d 1.434, 65.06°, I 19, (4 4 4); d 1.327, 71.02°, I 10, (6 4 2); d 1.110, 87.93°, I 23, (8 4 0)

Atomic structure:
Lattice parameters (Å, degrees): 9.9323 9.9323 9.9323 90.00 90.00 90.00
Space group Im-3m (No. 229)
One atom of each set of equivalent atoms:
K: 0.2500 0.2500 0.2500 (multiplicity 8)
Na: 0.0000 0.0000 0.0000 (multiplicity 2)
Cu: 0.0000 0.0000 0.5000 (multiplicity 6)
Cl: 0.0000 0.0000 0.2719 (multiplicity 12)
Cl: 0.0000 0.2500 0.5000 (multiplicity 12)

***

[3]
Tm3MgAg: computed XRD peak list (Cu Kα), based on a crystal structure in Alexandria, relaxed with GGA-PBE.
Kinematic intensities with the Lorentz-polarization factor, no thermal factor.

Largest 12 diffraction maxima, in order of rising 2θ, 2θ from 10° to 90°:
d 4.525, 19.62°, I 24, (1 1 -2); d 3.741, 23.79°, I 24, (1 1 -3); d 3.151, 28.32°, I 23, (3 1 1); d 3.106, 28.74°, I 32, (3 1 -2); d 2.964, 30.15°, I 26, (1 1 4); d 2.787, 32.12°, I 100, (4 0 -2); d 2.707, 33.10°, I 49, (2 2 1); d 2.623, 34.18°, I 43, (1 1 -5); d 2.612, 34.33°, I 60, (3 1 3); d 2.591, 34.62°, I 23, (4 0 2); d 2.515, 35.70°, I 30, (1 1 5); d 2.466, 36.44°, I 52, (2 2 -3)

Atomic structure:
Lattice parameters (Å, degrees): 11.6321 6.3482 14.5510 90.00 96.13 90.00
Space group C2/c (No. 15)
One atom of each set of equivalent atoms:
Tm: 0.0668 0.1010 0.1089 (multiplicity 8)
Tm: 0.1625 0.1998 0.7961 (multiplicity 8)
Tm: 0.1918 0.3166 0.3962 (multiplicity 8)
Mg: 0.0549 0.3946 0.5850 (multiplicity 8)
Ag: 0.0000 0.4071 0.2500 (multiplicity 4)
Ag: 0.2500 0.2500 0.0000 (multiplicity 4)

***

[4]
In2AgTe3Br: computed XRD peak list (Cu Kα), based on a crystal structure in Alexandria, relaxed with GGA-PBE.
Kinematic intensities with the Lorentz-polarization factor, no thermal factor.

Largest 12 diffraction maxima, in order of rising 2θ, 2θ from 10° to 90°:
d 5.847, 15.15°, I 9, (0 0 2); d 3.052, 29.26°, I 100, (1 1 0); d 2.924, 30.58°, I 42, (0 0 4); d 2.158, 41.86°, I 37, (2 0 0); d 2.111, 42.83°, I 66, (1 1 4); d 1.736, 52.72°, I 35, (2 0 4); d 1.526, 60.69°, I 12, (2 2 0); d 1.365, 68.78°, I 17, (3 1 0); d 1.353, 69.48°, I 15, (2 2 4); d 1.318, 71.57°, I 12, (1 1 8); d 1.237, 77.12°, I 23, (3 1 4); d 1.210, 79.13°, I 9, (2 0 8)

Atomic structure:
Lattice parameters (Å, degrees): 4.3161 4.3161 11.6942 90.00 90.00 90.00
Space group P4/mmm (No. 123)
One atom of each set of equivalent atoms:
In: 0.0000 0.0000 0.2369 (multiplicity 2)
Ag: 0.5000 0.5000 0.5000 (multiplicity 1)
Te: 0.0000 0.0000 0.5000 (multiplicity 1)
Te: 0.5000 0.5000 0.2617 (multiplicity 2)
Br: 0.0000 0.0000 0.0000 (multiplicity 1)

***

[5]
Tb4YPt2: computed XRD peak list (Cu Kα), based on a crystal structure in Alexandria, relaxed with GGA-PBE.
Kinematic intensities with the Lorentz-polarization factor, no thermal factor.

Largest 12 diffraction maxima, in order of rising 2θ, 2θ from 10° to 90°:
d 7.198, 12.30°, I 51, (1 0 0); d 3.202, 27.86°, I 50, (0 2 0); d 2.891, 30.93°, I 59, (1 0 2); d 2.882, 31.03°, I 74, (1 2 -1); d 2.596, 34.55°, I 100, (3 0 -1); d 2.563, 35.01°, I 65, (2 0 -3); d 2.502, 35.89°, I 56, (1 2 -2); d 2.470, 36.37°, I 84, (2 2 -1); d 2.432, 36.97°, I 86, (0 2 2); d 2.334, 38.58°, I 50, (3 1 -2); d 2.247, 40.13°, I 55, (3 1 0); d 1.966, 46.17°, I 47, (0 2 3)

Atomic structure:
Lattice parameters (Å, degrees): 7.8024 6.4048 8.1008 90.00 112.70 90.00
Space group P2_1/m (No. 11)
One atom of each set of equivalent atoms:
Tb: 0.0161 0.2500 0.3857 (multiplicity 2)
Tb: 0.2489 0.7500 0.3459 (multiplicity 2)
Tb: 0.4099 0.0058 0.7688 (multiplicity 4)
Y: 0.1525 0.2500 0.0257 (multiplicity 2)
Pt: 0.2452 0.7500 0.9922 (multiplicity 2)
Pt: 0.3766 0.2500 0.4132 (multiplicity 2)

***

[6]
Al2BiAu8: computed XRD peak list (Cu Kα), based on a crystal structure in Alexandria, relaxed with GGA-PBE.
Kinematic intensities with the Lorentz-polarization factor, no thermal factor.

Largest 12 diffraction maxima, in order of rising 2θ, 2θ from 10° to 90°:
d 3.145, 28.38°, I 9, (1 1 1); d 3.028, 29.50°, I 10, (3 1 -1); d 2.986, 29.92°, I 20, (4 0 1); d 2.625, 34.16°, I 13, (3 1 1); d 2.548, 35.22°, I 17, (1 1 -2); d 2.490, 36.07°, I 100, (5 1 -1); d 2.369, 37.98°, I 65, (1 1 2); d 2.211, 40.81°, I 49, (4 0 -3); d 1.926, 47.19°, I 25, (0 2 0); d 1.452, 64.13°, I 28, (4 2 -3); d 1.344, 69.99°, I 16, (9 1 -4); d 1.195, 80.36°, I 10, (5 3 -1)

Atomic structure:
Lattice parameters (Å, degrees): 16.6012 3.8520 6.8382 90.00 108.08 90.00
Space group C2/m (No. 12)
One atom of each set of equivalent atoms:
Al: 0.2094 0.0000 0.1667 (multiplicity 4)
Bi: 0.0000 0.5000 0.5000 (multiplicity 2)
Au: 0.0520 0.0000 0.2178 (multiplicity 4)
Au: 0.0973 0.5000 0.9588 (multiplicity 4)
Au: 0.1736 0.0000 0.7610 (multiplicity 4)
Au: 0.1806 0.5000 0.4351 (multiplicity 4)